# 1
This entry pairs a crystal structure of KMg14Zn with its computed powder XRD pattern. Radiation: CuKα. Structure: a crystal structure in the Materials Project, relaxed with PBE.
Intensities are scaled so that the largest is 100.

The 10 most intense peaks (2θ from 10° to 80°), sorted by position:
d_spacing	I_rel
2.820	13
2.808	24
2.632	38
2.485	48
2.477	100
1.921	23
1.626	17
1.488	26
1.383	18
1.357	13

Crystal structure
a b c (Å): 10.526 6.476 11.278
angles (deg): 90.00 90.00 90.00
Space group Amm2 (No. 38)
Symmetry-distinct sites (fractional):
1 K 0.000 0.000 0.000 x2
2 Mg 0.000 0.241 0.252 x4
3 Mg 0.240 0.000 0.663 x4
4 Mg 0.260 0.241 0.414 x8
5 Mg 0.264 0.000 0.170 x4
6 Mg 0.500 0.000 0.500 x2
7 Mg 0.500 0.000 0.998 x2
8 Mg 0.500 0.248 0.749 x4
9 Zn 0.000 0.000 0.488 x2

---

# 2
This entry pairs a crystal structure of BaEuYSbO6 with its computed powder XRD pattern. Radiation: CuKα. Structure: a crystal structure in the Materials Project, relaxed with PBE.
Intensities are scaled so that the largest is 100.

The 10 most intense peaks (2θ from 10° to 80°), sorted by position:
d_spacing	I_rel
4.886	2
2.992	100
2.552	1
2.443	5
2.116	30
1.728	40
1.496	19
1.338	18
1.276	1
1.222	6

Crystal structure
a b c (Å): 8.463 8.463 8.463
angles (deg): 90.00 90.00 90.00
Space group F-43m (No. 216)
Symmetry-distinct sites (fractional):
1 Ba 0.000 0.000 0.000 x4
2 Eu 0.000 0.000 0.500 x4
3 Y 0.250 0.250 0.250 x4
4 Sb 0.250 0.250 0.750 x4
5 O 0.013 0.250 0.750 x24

---

# 3
This entry pairs a crystal structure of TiMo6Se8 with its computed powder XRD pattern. Radiation: CuKα. Structure: a crystal structure in the Materials Project, relaxed with PBE.
Intensities are scaled so that the largest is 100.

The 10 most intense peaks (2θ from 10° to 80°), sorted by position:
d_spacing	I_rel
6.668	100
2.962	26
2.745	25
2.730	66
2.239	82
2.190	33
2.098	34
2.014	92
1.793	30
1.573	27

Crystal structure
a b c (Å): 9.5097 9.5097 11.3615
angles (deg): 90.00 90.00 120.00
Space group R-3 (No. 148, hexagonal axes)
Symmetry-distinct sites (fractional):
1 Ti 0.0000 0.0000 0.0000 x3
2 Mo 0.0215 0.1735 0.4002 x18
3 Se 0.0000 0.0000 0.2224 x6
4 Se 0.0101 0.6227 0.7480 x18

---

# 4
This entry pairs a crystal structure of H8WS4N2 with its computed powder XRD pattern. Radiation: CuKα. Structure: a crystal structure in the Materials Project, relaxed with PBE.
Intensities are scaled so that the largest is 100.

The 10 most intense peaks (2θ from 10° to 80°), sorted by position:
d_spacing	I_rel
6.234	10
5.237	100
4.891	18
3.845	11
3.590	16
3.563	11
2.894	10
2.883	22
2.280	11
2.270	10

Crystal structure
a b c (Å): 9.783 7.126 12.469
angles (deg): 90.00 90.00 90.00
Space group Pnma (No. 62)
Symmetry-distinct sites (fractional):
1 H 0.009 0.250 0.239 x4
2 H 0.031 0.750 0.892 x4
3 H 0.073 0.750 0.347 x4
4 H 0.110 0.132 0.152 x8
5 H 0.170 0.631 0.435 x8
6 H 0.245 0.750 0.334 x4
7 W 0.248 0.250 0.572 x4
8 S 0.032 0.750 0.110 x4
9 S 0.150 0.501 0.640 x8
10 S 0.218 0.250 0.396 x4
11 N 0.049 0.250 0.162 x4
12 N 0.165 0.750 0.388 x4

---

# 5
This entry pairs a crystal structure of CaSn2O4 with its computed powder XRD pattern. Radiation: CuKα. Structure: a crystal structure in the Materials Project, relaxed with PBE.
Intensities are scaled so that the largest is 100.

The 10 most intense peaks (2θ from 10° to 80°), sorted by position:
d_spacing	I_rel
5.242	24
5.132	43
3.048	47
2.984	86
2.763	100
2.747	46
2.041	40
2.015	34
1.700	22
1.681	34

Crystal structure
a b c (Å): 10.265 3.252 12.193
angles (deg): 90.00 90.00 90.00
Space group Pnma (No. 62)
Symmetry-distinct sites (fractional):
1 Ca 0.232 0.250 0.161 x4
2 Sn 0.059 0.750 0.389 x4
3 Sn 0.085 0.750 0.893 x4
4 O 0.031 0.750 0.692 x4
5 O 0.073 0.750 0.092 x4
6 O 0.113 0.250 0.503 x4
7 O 0.219 0.750 0.294 x4